1.
This entry pairs a crystal structure of Cs5Bi4Pb4 with its computed PXRD pattern. Radiation: Cu Kα. Structure: a crystal structure in Alexandria, relaxed with GGA-PBE.

Principal peaks in the range 15 to 90 degrees two-theta, sorted by position:
| 2θ/deg | d/Å | I_rel |
| --- | --- | --- |
| 24.11 | 3.692 | 35 |
| 25.46 | 3.499 | 21 |
| 26.86 | 3.319 | 18 |
| 26.97 | 3.306 | 100 |
| 29.58 | 3.020 | 45 |
| 30.71 | 2.911 | 32 |
| 32.29 | 2.772 | 42 |
| 34.26 | 2.617 | 69 |
| 45.16 | 2.008 | 22 |
| 50.76 | 1.799 | 29 |

```
Cs5Bi4Pb4
1.0
-7.4220 7.4220 2.7725
7.4220 -7.4220 2.7725
7.4220 7.4220 -2.7725
Cs Bi Pb
5 4 4
Cartesian
0.0000 0.0000 0.0000 Cs
5.2682 4.3186 0.0000 Cs
3.1034 -2.1538 2.7725 Cs
4.3186 9.5759 0.0000 Cs
2.1538 3.1034 2.7725 Cs
4.0749 0.5615 0.0000 Bi
6.8605 -3.3471 2.7725 Bi
0.5615 10.7691 0.0000 Bi
3.3471 6.8605 2.7725 Bi
8.2612 1.4781 0.0000 Pb
1.4781 6.5828 0.0000 Pb
5.9439 0.8392 2.7725 Pb
-0.8392 5.9439 2.7725 Pb
```

=====

2.
This entry pairs a crystal structure of CsBi4Pb2 with its computed PXRD pattern. Radiation: Cu Kα. Structure: a crystal structure in Alexandria, relaxed with GGA-PBE.

Principal peaks in the range 15 to 90 degrees two-theta, sorted by position:
| 2θ/deg | d/Å | I_rel |
| --- | --- | --- |
| 15.67 | 5.653 | 17 |
| 26.64 | 3.346 | 100 |
| 27.52 | 3.241 | 38 |
| 32.41 | 2.763 | 37 |
| 33.63 | 2.665 | 41 |
| 34.97 | 2.566 | 79 |
| 38.75 | 2.324 | 28 |
| 43.99 | 2.058 | 22 |
| 51.38 | 1.778 | 21 |
| 52.23 | 1.751 | 24 |

```
CsBi4Pb2
1.0
4.6474 0.0000 0.0000
0.0000 5.3295 0.0000
0.0000 0.0000 22.6138
Cs Bi Pb
2 8 4
Cartesian
0.0000 0.0000 0.0000 Cs
2.3237 2.6648 11.3069 Cs
0.0000 0.0000 9.3795 Bi
0.0000 0.0000 13.2344 Bi
0.0000 2.6648 7.6549 Bi
0.0000 2.6648 14.9589 Bi
2.3237 0.0000 3.6520 Bi
2.3237 0.0000 18.9618 Bi
2.3237 2.6648 1.9274 Bi
2.3237 2.6648 20.6864 Bi
0.0000 2.6648 4.2036 Pb
0.0000 2.6648 18.4102 Pb
2.3237 0.0000 7.1033 Pb
2.3237 0.0000 15.5105 Pb
```

=====

3.
This entry pairs a crystal structure of CsBi3Pb3 with its computed PXRD pattern. Radiation: Cu Kα. Structure: a crystal structure in Alexandria, relaxed with GGA-PBE.

Principal peaks in the range 15 to 90 degrees two-theta, sorted by position:
| 2θ/deg | d/Å | I_rel |
| --- | --- | --- |
| 22.62 | 3.930 | 28 |
| 26.42 | 3.374 | 61 |
| 30.39 | 2.941 | 100 |
| 31.01 | 2.884 | 25 |
| 32.80 | 2.731 | 21 |
| 37.19 | 2.418 | 31 |
| 37.71 | 2.386 | 44 |
| 40.70 | 2.217 | 24 |
| 56.68 | 1.624 | 28 |
| 62.17 | 1.493 | 23 |

```
CsBi3Pb3
1.0
12.0070 0.0000 0.0000
-6.0035 10.3984 0.0000
0.0000 0.0000 4.4340
Cs Bi Pb
2 6 6
Cartesian
0.0000 6.9322 1.1085 Cs
6.0035 3.4661 3.3255 Cs
-3.4277 6.3717 3.3255 Bi
2.1993 4.2440 3.3255 Bi
4.7750 0.2174 1.1085 Bi
1.2284 10.1810 3.3255 Bi
3.8042 6.1544 1.1085 Bi
9.4312 4.0266 1.1085 Bi
-0.6292 2.7257 3.3255 Pb
-3.3284 9.5804 3.3255 Pb
2.0460 1.9077 1.1085 Pb
3.9575 8.4906 3.3255 Pb
9.3318 0.8180 1.1085 Pb
6.6327 7.6726 1.1085 Pb
```

=====

4.
This entry pairs a crystal structure of Cs3BiPb4 with its computed PXRD pattern. Radiation: Cu Kα. Structure: a crystal structure in Alexandria, relaxed with GGA-PBE.

Principal peaks in the range 15 to 90 degrees two-theta, sorted by position:
| 2θ/deg | d/Å | I_rel |
| --- | --- | --- |
| 24.89 | 3.578 | 68 |
| 25.34 | 3.515 | 35 |
| 25.60 | 3.479 | 100 |
| 28.51 | 3.131 | 30 |
| 28.67 | 3.114 | 72 |
| 32.42 | 2.762 | 34 |
| 32.73 | 2.736 | 38 |
| 35.24 | 2.547 | 32 |
| 36.36 | 2.471 | 47 |
| 37.17 | 2.419 | 31 |

```
Cs3BiPb4
1.0
6.9466 0.0000 0.0000
0.0000 8.4951 0.0000
0.0000 0.0000 12.5229
Cs Bi Pb
6 2 8
Cartesian
0.0000 0.0000 0.0000 Cs
0.0000 2.0396 8.1538 Cs
0.0000 6.4556 8.1538 Cs
3.4733 2.2080 1.8923 Cs
3.4733 4.2476 6.2614 Cs
3.4733 6.2871 1.8923 Cs
0.0000 4.2476 1.2628 Bi
3.4733 0.0000 7.5242 Bi
0.0000 2.6694 4.1138 Pb
0.0000 5.8257 4.1138 Pb
1.7008 0.0000 4.8525 Pb
1.7725 4.2476 11.1139 Pb
3.4733 1.5782 10.3752 Pb
3.4733 6.9169 10.3752 Pb
5.1741 4.2476 11.1139 Pb
5.2458 0.0000 4.8525 Pb
```

=====

5.
This entry pairs a crystal structure of CsRbBiPb with its computed PXRD pattern. Radiation: Cu Kα. Structure: a crystal structure in Alexandria, relaxed with GGA-PBE.

Principal peaks in the range 15 to 90 degrees two-theta, sorted by position:
| 2θ/deg | d/Å | I_rel |
| --- | --- | --- |
| 16.01 | 5.534 | 51 |
| 24.09 | 3.695 | 35 |
| 24.56 | 3.625 | 81 |
| 29.67 | 3.011 | 43 |
| 30.54 | 2.927 | 100 |
| 31.59 | 2.832 | 45 |
| 37.49 | 2.399 | 26 |
| 43.88 | 2.063 | 37 |
| 47.81 | 1.902 | 23 |
| 53.17 | 1.723 | 35 |

```
CsRbBiPb
1.0
4.7981 0.0000 0.0000
0.0000 6.0223 0.0000
0.0000 0.0000 14.0359
Cs Rb Bi Pb
2 2 2 2
Cartesian
0.0000 0.0000 0.0000 Cs
0.0000 3.0111 7.0180 Cs
2.3991 0.0000 10.1002 Rb
2.3991 3.0111 3.0822 Rb
2.3991 0.0000 5.9312 Bi
2.3991 3.0111 12.9492 Bi
0.0000 0.0000 4.0132 Pb
0.0000 3.0111 11.0311 Pb
```

=====

6.
This entry pairs a crystal structure of CsBiPb2Se4 with its computed PXRD pattern. Radiation: Cu Kα. Structure: a crystal structure in Alexandria, relaxed with GGA-PBE.

Principal peaks in the range 15 to 90 degrees two-theta, sorted by position:
| 2θ/deg | d/Å | I_rel |
| --- | --- | --- |
| 24.00 | 3.708 | 24 |
| 24.48 | 3.636 | 22 |
| 27.98 | 3.189 | 100 |
| 28.23 | 3.161 | 49 |
| 39.36 | 2.289 | 19 |
| 40.17 | 2.245 | 75 |
| 40.60 | 2.222 | 19 |
| 49.14 | 1.854 | 20 |
| 50.18 | 1.818 | 20 |
| 73.56 | 1.288 | 19 |

```
CsBiPb2Se4
1.0
-4.4443 4.5779 6.3221
4.4443 -4.5779 6.3221
4.4443 4.5779 -6.3221
Cs Bi Pb Se
2 2 4 8
Cartesian
-2.2222 2.2889 3.1611 Cs
2.2222 2.2889 3.1611 Cs
0.0000 0.0000 0.0000 Bi
0.0000 4.5779 0.0000 Bi
2.2222 2.2889 -3.1611 Pb
2.2222 -2.2889 3.1611 Pb
4.4443 0.0000 0.0000 Pb
0.0000 0.0000 6.3221 Pb
4.4443 4.3344 -3.2804 Se
4.4443 -0.2435 3.2804 Se
2.1259 2.2889 -0.1332 Se
2.3184 -2.2889 6.1889 Se
2.1259 6.8668 0.1332 Se
2.3184 2.2889 6.4553 Se
0.0000 4.8213 3.0417 Se
0.0000 0.2435 9.6025 Se
```

=====

7.
This entry pairs a crystal structure of Cs4Bi4Pd with its computed PXRD pattern. Radiation: Cu Kα. Structure: a crystal structure in Alexandria, relaxed with GGA-PBE.

Principal peaks in the range 15 to 90 degrees two-theta, sorted by position:
| 2θ/deg | d/Å | I_rel |
| --- | --- | --- |
| 16.09 | 5.509 | 41 |
| 21.66 | 4.103 | 50 |
| 26.15 | 3.408 | 100 |
| 30.41 | 2.939 | 39 |
| 31.67 | 2.825 | 20 |
| 37.65 | 2.389 | 49 |
| 38.14 | 2.360 | 19 |
| 42.81 | 2.112 | 27 |
| 51.14 | 1.786 | 15 |
| 56.99 | 1.616 | 17 |

```
Cs4Bi4Pd
1.0
-3.8955 3.8955 8.2070
3.8955 -3.8955 8.2070
3.8955 3.8955 -8.2070
Cs Bi Pd
4 4 1
Cartesian
2.4453 -2.4453 6.1775 Cs
1.4502 1.4502 2.0295 Cs
-2.4453 2.4453 6.1775 Cs
2.4453 2.4453 10.2365 Cs
2.8213 2.8213 -2.3013 Bi
1.0742 1.0742 5.9056 Bi
1.0742 -1.0742 10.5083 Bi
-1.0742 1.0742 10.5083 Bi
0.0000 0.0000 8.2070 Pd
```

=====

8.
This entry pairs a crystal structure of Cs3Bi4Pd with its computed PXRD pattern. Radiation: Cu Kα. Structure: a crystal structure in Alexandria, relaxed with GGA-PBE.

Principal peaks in the range 15 to 90 degrees two-theta, sorted by position:
| 2θ/deg | d/Å | I_rel |
| --- | --- | --- |
| 21.74 | 4.088 | 20 |
| 27.66 | 3.225 | 47 |
| 27.79 | 3.210 | 33 |
| 29.63 | 3.015 | 53 |
| 30.27 | 2.953 | 100 |
| 30.36 | 2.944 | 66 |
| 36.48 | 2.463 | 20 |
| 43.30 | 2.090 | 21 |
| 46.45 | 1.955 | 32 |
| 54.56 | 1.682 | 36 |

```
Cs3Bi4Pd
1.0
7.3890 0.0000 0.0000
0.0000 14.6890 0.0000
0.0000 0.0000 6.6088
Cs Bi Pd
6 8 2
Cartesian
1.8472 0.0230 1.0969 Cs
1.8472 3.6723 3.4168 Cs
1.8472 7.3215 1.0969 Cs
5.5417 7.3675 5.5119 Cs
5.5417 11.0168 3.1920 Cs
5.5417 14.6660 5.5119 Cs
0.1391 11.0168 6.5424 Bi
1.8472 9.3232 4.3625 Bi
1.8472 12.7104 4.3625 Bi
3.5554 11.0168 6.5424 Bi
3.8335 3.6723 0.0664 Bi
5.5417 1.9787 2.2463 Bi
5.5417 5.3659 2.2463 Bi
7.2499 3.6723 0.0664 Bi
1.8472 11.0168 2.1567 Pd
5.5417 3.6723 4.4521 Pd
```

=====

9.
This entry pairs a crystal structure of CsTlBiPd2 with its computed PXRD pattern. Radiation: Cu Kα. Structure: a crystal structure in Alexandria, relaxed with GGA-PBE.

Principal peaks in the range 15 to 90 degrees two-theta, sorted by position:
| 2θ/deg | d/Å | I_rel |
| --- | --- | --- |
| 21.63 | 4.109 | 58 |
| 24.98 | 3.564 | 70 |
| 27.10 | 3.290 | 67 |
| 27.57 | 3.235 | 100 |
| 31.10 | 2.876 | 66 |
| 35.34 | 2.540 | 57 |
| 36.92 | 2.435 | 94 |
| 39.20 | 2.298 | 78 |
| 39.87 | 2.261 | 57 |
| 42.95 | 2.106 | 51 |

```
CsTlBiPd2
1.0
7.8064 0.0000 0.0000
0.0000 4.8694 0.0000
-1.7809 0.0000 8.9256
Cs Tl Bi Pd
2 2 2 4
Cartesian
0.8269 1.2174 3.2496 Cs
5.1985 3.6521 5.6760 Cs
2.3268 1.2174 6.8211 Tl
3.6987 3.6521 2.1045 Tl
-0.7455 1.2174 7.9942 Bi
6.7709 3.6521 0.9314 Bi
1.7019 3.6521 0.0955 Pd
3.3627 1.2174 0.6548 Pd
2.6627 3.6521 8.2708 Pd
4.3235 1.2174 8.8301 Pd
```

=====

10.
This entry pairs a crystal structure of Cs4Pr3BiSe8 with its computed PXRD pattern. Radiation: Cu Kα. Structure: a crystal structure in Alexandria, relaxed with GGA-PBE.

Principal peaks in the range 15 to 90 degrees two-theta, sorted by position:
| 2θ/deg | d/Å | I_rel |
| --- | --- | --- |
| 21.14 | 4.203 | 10 |
| 24.27 | 3.668 | 13 |
| 27.23 | 3.276 | 100 |
| 36.92 | 2.435 | 34 |
| 40.77 | 2.213 | 37 |
| 49.72 | 1.834 | 19 |
| 56.16 | 1.638 | 10 |
| 60.76 | 1.524 | 14 |
| 66.18 | 1.412 | 16 |
| 71.69 | 1.317 | 10 |

```
Cs4Pr3BiSe8
1.0
4.4266 2.5557 8.4059
-4.4266 2.5557 8.4059
0.0000 -5.1114 8.4059
Cs Pr Bi Se
4 3 1 8
Cartesian
0.0000 0.0000 0.0000 Cs
-2.2133 -1.2778 8.4059 Cs
-2.2133 1.2778 16.8117 Cs
0.0000 2.5557 8.4059 Cs
-4.4266 0.0000 12.6088 Pr
-2.2133 1.2778 4.2029 Pr
2.2133 1.2778 4.2029 Pr
0.0000 0.0000 12.6088 Bi
0.0000 0.0000 5.8170 Se
-2.2039 -1.2724 14.2200 Se
0.0000 -2.5449 10.9976 Se
-2.2039 1.2724 10.9976 Se
2.2039 -1.2724 14.2200 Se
0.0000 2.5449 14.2200 Se
2.2039 1.2724 10.9976 Se
0.0000 0.0000 19.4006 Se
```

=====

11.
This entry pairs a crystal structure of Cs2BiPt2 with its computed PXRD pattern. Radiation: Cu Kα. Structure: a crystal structure in Alexandria, relaxed with GGA-PBE.

Principal peaks in the range 15 to 90 degrees two-theta, sorted by position:
| 2θ/deg | d/Å | I_rel |
| --- | --- | --- |
| 17.69 | 5.013 | 35 |
| 26.52 | 3.362 | 49 |
| 28.77 | 3.103 | 100 |
| 30.00 | 2.978 | 92 |
| 31.22 | 2.865 | 51 |
| 32.88 | 2.724 | 38 |
| 39.80 | 2.265 | 62 |
| 40.22 | 2.242 | 35 |
| 42.06 | 2.148 | 40 |
| 49.94 | 1.826 | 36 |

```
Cs2BiPt2
1.0
5.5019 -4.2606 0.0000
5.5019 4.2606 0.0000
-0.6139 0.0000 7.0849
Cs Bi Pt
4 2 4
Cartesian
1.5137 0.9336 0.5291 Cs
1.2067 -0.9336 4.0715 Cs
9.1831 0.9336 3.0134 Cs
8.8761 -0.9336 6.5558 Cs
5.3484 0.1152 1.7712 Bi
5.0414 -0.1152 5.3137 Bi
3.5662 1.4625 3.4866 Pt
7.1306 1.4625 0.0559 Pt
3.2593 -1.4625 7.0290 Pt
6.8236 -1.4625 3.5983 Pt
```

=====

12.
This entry pairs a crystal structure of CsBi12Pt4 with its computed PXRD pattern. Radiation: Cu Kα. Structure: a crystal structure in Alexandria, relaxed with GGA-PBE.

Principal peaks in the range 15 to 90 degrees two-theta, sorted by position:
| 2θ/deg | d/Å | I_rel |
| --- | --- | --- |
| 28.00 | 3.187 | 100 |
| 33.26 | 2.694 | 39 |
| 40.01 | 2.254 | 34 |
| 44.01 | 2.057 | 34 |
| 45.91 | 1.977 | 30 |
| 52.98 | 1.728 | 14 |
| 62.50 | 1.486 | 20 |
| 71.26 | 1.323 | 11 |
| 80.94 | 1.188 | 18 |
| 82.29 | 1.172 | 10 |

```
CsBi12Pt4
1.0
-5.0394 5.0394 5.0394
5.0394 -5.0394 5.0394
5.0394 5.0394 -5.0394
Cs Bi Pt
1 12 4
Cartesian
0.0000 0.0000 0.0000 Cs
3.4640 1.6177 0.0000 Bi
6.6147 1.6177 0.0000 Bi
5.0394 -1.5753 3.4217 Bi
3.4217 5.0394 -1.5753 Bi
1.6177 0.0000 3.4640 Bi
5.0394 1.5753 3.4217 Bi
0.0000 3.4640 1.6177 Bi
3.4217 5.0394 1.5753 Bi
1.6177 0.0000 6.6147 Bi
0.0000 6.6147 1.6177 Bi
-1.5753 3.4217 5.0394 Bi
1.5753 3.4217 5.0394 Bi
2.5197 2.5197 -2.5197 Pt
2.5197 -2.5197 2.5197 Pt
-2.5197 2.5197 2.5197 Pt
2.5197 2.5197 2.5197 Pt
```